[1]
This entry pairs a crystal structure of HgAu4S2 with its calculated powder diffraction line list. Radiation: Cu Kα (λ = 1.5418 Å). Structure: DFT lattice parameters and positions (GGA-PBE).

```
data_HgAu4S2
_chemical_formula_sum 'Hg4 Au16 S8'
_space_group_name_H-M_alt 'P 42/m b c'
_space_group_IT_number 135
_space_group_name_Hall '-P 4c 2ab'
_cell_length_a 10.4082
_cell_length_b 10.4082
_cell_length_c 6.9671
_cell_angle_alpha 90.00
_cell_angle_beta 90.00
_cell_angle_gamma 90.00
loop_
_atom_site_label
_atom_site_type_symbol
_atom_site_fract_x
_atom_site_fract_y
_atom_site_fract_z
Hg1 Hg 0.0000 0.5000 0.2500
Au1 Au 0.0153 0.2722 0.0000
Au2 Au 0.2305 0.2695 0.2500
S1 S 0.1298 0.1577 0.5000
```

Largest 8 diffraction maxima, in order of rising 2θ, 10° ≤ 2θ ≤ 90°:
hkl 1 1 0, 2θ 12.0, d = 7.360 Å, intensity 37; hkl 2 0 1, 2θ 21.3, d = 4.169 Å, intensity 54; hkl 4 0 0, 2θ 34.5, d = 2.602 Å, intensity 43; hkl 2 2 2, 2θ 35.5, d = 2.530 Å, intensity 100; hkl 4 2 1, 2θ 40.9, d = 2.207 Å, intensity 19; hkl 5 1 0, 2θ 44.3, d = 2.043 Å, intensity 17; hkl 4 4 0, 2θ 49.5, d = 1.840 Å, intensity 16; hkl 6 2 2, 2θ 62.4, d = 1.488 Å, intensity 27

***

[2]
This entry pairs a crystal structure of SnHg2AuS4 with its calculated powder diffraction line list. Radiation: Cu Kα (λ = 1.5418 Å). Structure: DFT lattice parameters and positions (GGA-PBE).

```
data_SnHg2AuS4
_chemical_formula_sum 'Sn4 Hg8 Au4 S16'
_space_group_name_H-M_alt 'F m m 2'
_space_group_IT_number 42
_space_group_name_Hall 'F 2 -2'
_cell_length_a 8.4403
_cell_length_b 8.4482
_cell_length_c 12.0006
_cell_angle_alpha 90.00
_cell_angle_beta 90.00
_cell_angle_gamma 90.00
loop_
_atom_site_label
_atom_site_type_symbol
_atom_site_fract_x
_atom_site_fract_y
_atom_site_fract_z
Sn1 Sn 0.0000 0.0000 0.0000
Hg1 Hg 0.2500 0.2500 0.2503
Au1 Au 0.0000 0.0000 0.5011
S1 S 0.0000 0.2447 0.6209
S2 S 0.2442 0.0000 0.3794
```

Largest 8 diffraction maxima, in order of rising 2θ, 10° ≤ 2θ ≤ 90°:
hkl 2 0 2, 2θ 25.8, d = 3.453 Å, intensity 100; hkl 0 0 4, 2θ 29.8, d = 3.000 Å, intensity 11; hkl 2 2 0, 2θ 29.9, d = 2.985 Å, intensity 22; hkl 2 2 4, 2θ 42.7, d = 2.115 Å, intensity 45; hkl 0 2 6, 2θ 50.5, d = 1.808 Å, intensity 16; hkl 2 4 2, 2θ 50.7, d = 1.801 Å, intensity 33; hkl 4 2 6, 2θ 68.3, d = 1.373 Å, intensity 14; hkl 6 2 4, 2θ 78.4, d = 1.220 Å, intensity 12